Structure and theoretical powder diffraction line list of Mg11C2N10 (a DFT-relaxed cell (PBE, the Materials Project); Cu Kα X-rays).

Structural model:
```
data_Mg11C2N10
_chemical_formula_sum 'Mg22 C4 N20'
_space_group_name_H-M_alt 'P 42/m n m'
_space_group_IT_number 136
_space_group_name_Hall '-P 4n 2n'
_cell_length_a 13.1413
_cell_length_b 13.1413
_cell_length_c 3.1755
_cell_angle_alpha 90.00
_cell_angle_beta 90.00
_cell_angle_gamma 90.00
loop_
_atom_site_label
_atom_site_type_symbol
_atom_site_fract_x
_atom_site_fract_y
_atom_site_fract_z
Mg1 Mg 0.0000 0.0000 0.0000
Mg2 Mg 0.0140 0.2065 0.5000
Mg3 Mg 0.0960 0.6150 0.5000
Mg4 Mg 0.1608 0.8392 0.0000
C1 C 0.1909 0.1909 0.0000
N1 N 0.0187 0.6846 0.0000
N2 N 0.0861 0.9139 0.5000
N3 N 0.1243 0.1243 0.0000
N4 N 0.2430 0.7570 0.5000
```

Most intense lines, 10 to 80 degrees two-theta, in order of rising 2θ:
h k l, d_spacing, I (rel.)
2 2 1, 2.624, 33
5 1 0, 2.577, 47
3 2 1, 2.394, 100
4 4 0, 2.323, 60
3 3 1, 2.217, 64
4 3 1, 2.025, 45
7 1 1, 1.604, 38
0 0 2, 1.588, 30